1.
# Na2TbSm3Se6
Simulated powder X-ray diffraction pattern, copper Kα. Input: a structure optimized by DFT (GGA-PBE).
Kinematic intensities with the Lorentz-polarization factor, no thermal factor.

```
data_Na2TbSm3Se6
_chemical_formula_sum 'Na4 Tb2 Sm6 Se12'
_cell_length_a 7.2230
_cell_length_b 12.4981
_cell_length_c 7.2553
_cell_angle_alpha 90.00
_cell_angle_beta 109.30
_cell_angle_gamma 90.00
_space_group_name_H-M_alt 'C 1 2/m 1'
_space_group_IT_number 12
_space_group_name_Hall '-C 2y'
loop_
_atom_site_label
_atom_site_type_symbol
_atom_site_fract_x
_atom_site_fract_y
_atom_site_fract_z
Na1 Na 0.0000 0.1658 0.0000
Tb1 Tb 0.0000 0.5000 0.0000
Sm1 Sm 0.0000 0.0000 0.5000
Sm2 Sm 0.0000 0.3304 0.5000
Se1 Se 0.2434 0.5000 0.7481
Se2 Se 0.2466 0.3359 0.2475
```

Principal peaks in the range 5 to 70 degrees two-theta, in order of falling intensity:
h k l  d (Å)  Position (°2θ)  I/Imax
1 3 1  2.953  30.26  100
2 0 2  2.092  43.24  37
0 6 0  2.084  43.42  37
4 0 0  1.703  53.84  19
4 0 -4  1.477  62.95  12
0 0 1  6.848  12.93  11
2 0 -1  3.555  25.05  7
0 0 4  1.712  53.54  7
1 1 0  5.985  14.80  5
1 1 -1  5.339  16.61  4

***

2.
# NdY7Er5
Simulated powder X-ray diffraction pattern, copper Kα. Input: a structure optimized by DFT (GGA-PBE).
Kinematic intensities with the Lorentz-polarization factor, no thermal factor.

```
data_NdY7Er5
_chemical_formula_sum 'Nd2 Y14 Er10'
_cell_length_a 6.6732
_cell_length_b 11.1580
_cell_length_c 11.5837
_cell_angle_alpha 90.00
_cell_angle_beta 90.00
_cell_angle_gamma 90.00
_space_group_name_H-M_alt 'I m m 2'
_space_group_IT_number 44
_space_group_name_Hall 'I 2 -2'
loop_
_atom_site_label
_atom_site_type_symbol
_atom_site_fract_x
_atom_site_fract_y
_atom_site_fract_z
Nd1 Nd 0.0000 0.0000 0.0000
Y1 Y 0.0000 0.0000 0.3872
Y2 Y 0.0000 0.0000 0.6978
Y3 Y 0.0000 0.3261 0.9438
Y4 Y 0.0000 0.3309 0.4426
Y5 Y 0.0000 0.5000 0.6974
Er1 Er 0.0000 0.5000 0.1887
Er2 Er 0.2342 0.2298 0.1950
```

Principal peaks in the range 5 to 70 degrees two-theta, in order of falling intensity:
h k l  d (Å)  Position (°2θ)  I/Imax
0 0 4  2.894  30.90  100
2 2 2  2.567  34.95  93
2 2 0  2.864  31.23  67
1 3 2  2.833  31.58  59
0 0 2  5.790  15.30  39
2 2 6  1.601  57.58  34
0 4 2  2.513  35.73  33
2 2 4  2.036  44.50  31
0 4 0  2.789  32.09  27
2 6 4  1.417  65.94  25

***

3.
# PrPa2O6
Simulated powder X-ray diffraction pattern, copper Kα. Input: a structure optimized by DFT (GGA-PBE).
Kinematic intensities with the Lorentz-polarization factor, no thermal factor.

```
data_PrPa2O6
_chemical_formula_sum 'Pr1 Pa2 O6'
_cell_length_a 3.9173
_cell_length_b 3.9173
_cell_length_c 9.4921
_cell_angle_alpha 90.00
_cell_angle_beta 90.00
_cell_angle_gamma 120.00
_space_group_name_H-M_alt 'P -3 m 1'
_space_group_IT_number 164
_space_group_name_Hall '-P 3 2"'
loop_
_atom_site_label
_atom_site_type_symbol
_atom_site_fract_x
_atom_site_fract_y
_atom_site_fract_z
Pr1 Pr 0.0000 0.0000 0.0000
Pa1 Pa 0.3333 0.6667 0.6663
O1 O 0.0000 0.0000 0.2693
O2 O 0.3333 0.6667 0.4195
O3 O 0.3333 0.6667 0.8971
```

Principal peaks in the range 5 to 70 degrees two-theta, in order of falling intensity:
h k l  d (Å)  Position (°2θ)  I/Imax
1 0 1  3.195  27.93  100
0 1 2  2.760  32.44  47
1 1 0  1.959  46.36  33
1 0 4  1.945  46.71  32
0 0 3  3.164  28.20  32
1 1 3  1.665  55.15  30
0 2 1  1.670  54.99  16
0 1 5  1.657  55.46  16
0 2 4  1.380  67.93  10
2 0 2  1.597  57.72  10